No. 1
Sr2AlBiO6: calculated X-ray powder pattern (Cu Kα), based on DFT lattice parameters and positions (PBE).
No peak broadening, texture or thermal motion is included.

Principal peaks in the range 5° ≤ 2θ ≤ 70°, sorted by position:
19.06 deg, I = 44
31.38 deg, I = 100
36.97 deg, I = 30
44.97 deg, I = 33
55.86 deg, I = 41
65.48 deg, I = 20

Structure:
```
data_Sr2AlBiO6
_cell_length_a 5.702
_cell_length_b 5.702
_cell_length_c 5.702
_cell_angle_alpha 60.00
_cell_angle_beta 60.00
_cell_angle_gamma 60.00
_space_group_name_H-M_alt 'P 1'
_space_group_IT_number 1
_space_group_name_Hall 'P 1'
loop_
_atom_site_label
_atom_site_type_symbol
_atom_site_fract_x
_atom_site_fract_y
_atom_site_fract_z
_atom_site_occupancy
Sr1 Sr 0.250 0.250 0.250 1
Sr2 Sr 0.750 0.750 0.750 1
Al1 Al 0.000 0.000 0.000 1
Bi1 Bi 0.500 0.500 0.500 1
O1 O 0.239 0.239 0.761 1
O2 O 0.239 0.761 0.239 1
O3 O 0.239 0.761 0.761 1
O4 O 0.761 0.239 0.239 1
O5 O 0.761 0.239 0.761 1
O6 O 0.761 0.761 0.239 1
```

---

No. 2
Sn2Ir: calculated X-ray powder pattern (Cu Kα), based on DFT lattice parameters and positions (PBE).
No peak broadening, texture or thermal motion is included.

Principal peaks in the range 5° ≤ 2θ ≤ 70°, sorted by position:
23.93 deg, I = 46
27.71 deg, I = 2
39.58 deg, I = 100
46.79 deg, I = 24
57.22 deg, I = 17
62.91 deg, I = 10

Structure:
```
data_Sn2Ir
_cell_length_a 4.554
_cell_length_b 4.554
_cell_length_c 4.554
_cell_angle_alpha 60.00
_cell_angle_beta 60.00
_cell_angle_gamma 60.00
_space_group_name_H-M_alt 'P 1'
_space_group_IT_number 1
_space_group_name_Hall 'P 1'
loop_
_atom_site_label
_atom_site_type_symbol
_atom_site_fract_x
_atom_site_fract_y
_atom_site_fract_z
_atom_site_occupancy
Sn1 Sn 0.250 0.250 0.250 1
Sn2 Sn 0.750 0.750 0.750 1
Ir1 Ir 0.000 0.000 0.000 1
```

---

No. 3
Mg6ZnCdO8: calculated X-ray powder pattern (Cu Kα), based on DFT lattice parameters and positions (PBE).
No peak broadening, texture or thermal motion is included.

Principal peaks in the range 5° ≤ 2θ ≤ 70°, sorted by position:
10.20 deg, I = 100
30.73 deg, I = 37
35.68 deg, I = 60
41.34 deg, I = 99
41.64 deg, I = 48
60.12 deg, I = 56

Structure:
```
data_Mg6ZnCdO8
_cell_length_a 4.368
_cell_length_b 4.368
_cell_length_c 8.676
_cell_angle_alpha 90.00
_cell_angle_beta 90.00
_cell_angle_gamma 90.00
_space_group_name_H-M_alt 'P 1'
_space_group_IT_number 1
_space_group_name_Hall 'P 1'
loop_
_atom_site_label
_atom_site_type_symbol
_atom_site_fract_x
_atom_site_fract_y
_atom_site_fract_z
_atom_site_occupancy
Mg1 Mg 0.000 0.000 0.000 1
Mg2 Mg 0.000 0.500 0.245 1
Mg3 Mg 0.000 0.500 0.755 1
Mg4 Mg 0.500 0.000 0.245 1
Mg5 Mg 0.500 0.000 0.755 1
Mg6 Mg 0.500 0.500 0.000 1
Zn1 Zn 0.000 0.000 0.500 1
Cd1 Cd 0.500 0.500 0.500 1
O1 O 0.000 0.000 0.248 1
O2 O 0.000 0.000 0.752 1
O3 O 0.000 0.500 0.000 1
O4 O 0.000 0.500 0.500 1
O5 O 0.500 0.000 0.000 1
O6 O 0.500 0.000 0.500 1
O7 O 0.500 0.500 0.233 1
O8 O 0.500 0.500 0.767 1
```